Diffraction record for BaMoRh. The powder diffractogram is simulated, not measured: it uses a structure optimized by DFT (PBE) and Cu Ka.
Kinematic intensities with the Lorentz-polarization factor, no thermal factor.

```
BaMoRh
1.0
10.2107 0.0000 0.0000
0.0000 4.4417 0.0000
-4.7596 0.0000 6.9202
Ba Mo Rh
4 4 4
direct
0.0587 0.0000 0.3350
0.4413 0.5000 0.6650
0.5587 0.5000 0.3350
0.9413 0.0000 0.6650
0.1395 0.5000 0.0530
0.3605 0.0000 0.9470
0.6395 0.0000 0.0530
0.8605 0.5000 0.9470
0.2234 0.5000 0.8180
0.2766 0.0000 0.1820
0.7234 0.0000 0.8180
0.7766 0.5000 0.1820
```

The 12 most intense peaks (2θ = 10–90°), sorted by position:
Position (°2θ)	intensity
12.8	30.3
29.0	100.0
29.5	18.6
30.5	25.5
32.0	51.2
34.1	43.5
35.2	24.7
37.9	31.7
40.6	38.4
51.8	15.3
52.4	15.5
52.6	24.4



Diffraction record for BaMo6S8. The powder diffractogram is simulated, not measured: it uses a structure optimized by DFT (PBE) and Cu Ka.
Kinematic intensities with the Lorentz-polarization factor, no thermal factor.

```
BaMo6S8
1.0
6.6604 0.0000 0.0000
0.2302 6.7189 0.0000
0.1168 0.1112 6.7651
Ba Mo S
1 6 8
direct
0.0000 0.0000 0.0000
0.2402 0.5642 0.4185
0.4172 0.2331 0.5643
0.4328 0.5836 0.7664
0.5672 0.4164 0.2336
0.5828 0.7669 0.4357
0.7598 0.4358 0.5815
0.1249 0.3919 0.7336
0.2588 0.2468 0.2523
0.2657 0.8767 0.6122
0.3929 0.7320 0.1255
0.6071 0.2680 0.8745
0.7343 0.1233 0.3878
0.7412 0.7532 0.7477
0.8751 0.6081 0.2664
```

The 12 most intense peaks (2θ = 10–90°), sorted by position:
Position (°2θ)	intensity
13.1	100.0
13.3	53.9
18.5	51.1
18.5	27.6
18.8	40.2
29.8	29.0
30.2	49.1
32.7	36.2
39.4	38.5
42.1	41.0
42.7	27.6
44.6	55.3



Diffraction record for Ba2VMoS. The powder diffractogram is simulated, not measured: it uses a structure optimized by DFT (PBE) and Cu Ka.
Kinematic intensities with the Lorentz-polarization factor, no thermal factor.

```
Ba2VMoS
1.0
6.2344 0.0000 0.0000
0.0000 6.2344 0.0000
0.0000 0.0000 4.5104
Ba V Mo S
2 1 1 1
direct
0.0000 0.5000 0.0000
0.5000 0.0000 0.0000
0.0000 0.0000 0.5000
0.5000 0.5000 0.5000
0.0000 0.0000 0.0000
```

The 12 most intense peaks (2θ = 10–90°), sorted by position:
Position (°2θ)	intensity
19.7	9.2
28.3	100.0
28.6	67.6
40.0	13.4
40.9	25.0
49.9	27.6
50.5	39.2
58.6	16.9
67.1	11.2
80.3	10.1
81.1	13.4
81.6	9.7



Diffraction record for Ba2SbMo. The powder diffractogram is simulated, not measured: it uses a structure optimized by DFT (PBE) and Cu Ka.
Kinematic intensities with the Lorentz-polarization factor, no thermal factor.

```
Ba2SbMo
1.0
4.1834 0.0000 0.0000
0.0000 5.5344 0.0000
0.0000 0.0000 12.3305
Ba Sb Mo
4 2 2
direct
0.0000 0.0000 0.0000
0.0000 0.5000 0.2101
0.5000 0.0000 0.7101
0.5000 0.5000 0.5000
0.0000 0.0000 0.4266
0.5000 0.5000 0.9266
0.0000 0.5000 0.7800
0.5000 0.0000 0.2800
```

The 12 most intense peaks (2θ = 10–90°), sorted by position:
Position (°2θ)	intensity
27.0	28.8
29.0	12.5
30.5	100.0
32.4	26.0
42.6	18.6
43.3	11.5
51.7	9.4
54.5	17.9
54.7	11.3
55.0	11.2
56.5	16.4
72.2	9.9



Diffraction record for Ba4ScMo. The powder diffractogram is simulated, not measured: it uses a structure optimized by DFT (PBE) and Cu Ka.
Kinematic intensities with the Lorentz-polarization factor, no thermal factor.

```
Ba4ScMo
1.0
0.0000 5.0877 5.0877
5.0877 0.0000 5.0877
5.0877 5.0877 0.0000
Ba Sc Mo
4 1 1
direct
0.1251 0.1251 0.1251
0.1251 0.1251 0.6248
0.1251 0.6248 0.1251
0.6248 0.1251 0.1251
0.5000 0.5000 0.5000
0.7500 0.7500 0.7500
```

The 12 most intense peaks (2θ = 10–90°), sorted by position:
Position (°2θ)	intensity
15.1	31.7
24.7	11.8
29.1	100.0
30.4	61.7
35.3	16.3
46.4	36.0
50.8	34.5
59.6	12.7
60.3	26.0
71.2	22.5
82.0	12.0
82.7	10.9



Diffraction record for Ba2ScMo. The powder diffractogram is simulated, not measured: it uses a structure optimized by DFT (PBE) and Cu Ka.
Kinematic intensities with the Lorentz-polarization factor, no thermal factor.

```
Ba2ScMo
1.0
3.7982 0.0000 0.0000
0.0000 3.7982 0.0000
0.0000 0.0000 9.5665
Ba Sc Mo
2 1 1
direct
0.0000 0.0000 0.0000
0.5000 0.5000 0.3957
0.5000 0.5000 0.7409
0.0000 0.0000 0.6413
```

The 12 most intense peaks (2θ = 10–90°), sorted by position:
Position (°2θ)	intensity
25.2	100.0
28.0	40.8
30.0	92.9
33.4	92.4
36.8	59.8
44.1	46.2
47.9	32.5
54.9	23.5
57.6	28.3
61.9	25.2
63.3	23.7
83.1	22.3